[1]
Zr6C5: calculated powder X-ray diffraction pattern (Cu Kα X-rays), based on a crystal structure in OQMD, relaxed with PBE.

Structure:
Cell: 5.7877 5.7877 16.3815 Å, 90.00 90.00 120.00°
Fractional positions:
Zr (0.2072, 0.0974, 0.2486)
Zr (0.2072, 0.1098, 0.7514)
Zr (0.2071, 0.4451, 0.4179)
Zr (0.2071, 0.7619, 0.5821)
Zr (0.2381, 0.4451, 0.9154)
Zr (0.2381, 0.7929, 0.0846)
Zr (0.5417, 0.0968, 0.9127)
Zr (0.5417, 0.4449, 0.0873)
Zr (0.5551, 0.0968, 0.4206)
Zr (0.5551, 0.4583, 0.5794)
Zr (0.5549, 0.7619, 0.7512)
Zr (0.5549, 0.7929, 0.2488)
Zr (0.8902, 0.0974, 0.0847)
Zr (0.8902, 0.7928, 0.9153)
Zr (0.9026, 0.1098, 0.5820)
Zr (0.9032, 0.4449, 0.2461)
Zr (0.9032, 0.4583, 0.7539)
Zr (0.9026, 0.7928, 0.4180)
C (0.2185, 0.1092, 0.5000)
C (0.2219, 0.4438, 0.6667)
C (0.2219, 0.7781, 0.3333)
C (0.2229, 0.1115, 0.0000)
C (0.2225, 0.4450, 0.1667)
C (0.2225, 0.7775, 0.8333)
C (0.5545, 0.1089, 0.1667)
C (0.5545, 0.4455, 0.8333)
C (0.5550, 0.7775, 0.5000)
C (0.5562, 0.7781, 0.0000)
C (0.8885, 0.1115, 0.3333)
C (0.8885, 0.7771, 0.6667)
C (0.8908, 0.1092, 0.8333)
C (0.8911, 0.4455, 0.5000)
C (0.8908, 0.7815, 0.1667)

Main lines, by angle (2θ = 10–90°):
- d = 2.729 Å, intensity 100
- d = 2.363 Å, intensity 72
- d = 1.671 Å, intensity 46
- d = 1.425 Å, intensity 39
- d = 1.365 Å, intensity 15
- d = 1.182 Å, intensity 7



[2]
Zr4C3: calculated powder X-ray diffraction pattern (Cu Kα X-rays), based on a crystal structure in OQMD, relaxed with PBE.

Structure:
Cell: 8.1840 8.1840 8.1618 Å, 109.37 109.37 109.48°
Fractional positions:
Zr (0.1072, 0.3662, 0.4910)
Zr (0.1151, 0.6238, 0.2407)
Zr (0.1157, 0.1157, 0.7489)
Zr (0.1249, 0.8751, 0.0000)
Zr (0.3573, 0.3573, 0.2318)
Zr (0.3662, 0.1072, 0.4910)
Zr (0.3660, 0.6340, 0.0000)
Zr (0.3762, 0.8849, 0.7593)
Zr (0.6238, 0.1151, 0.2407)
Zr (0.6340, 0.3660, 0.0000)
Zr (0.6338, 0.8928, 0.5090)
Zr (0.6427, 0.6427, 0.7682)
Zr (0.8751, 0.1249, 0.0000)
Zr (0.8843, 0.8843, 0.2511)
Zr (0.8849, 0.3762, 0.7593)
Zr (0.8928, 0.6338, 0.5090)
C (0.1269, 0.8731, 0.5000)
C (0.1281, 0.6252, 0.7483)
C (0.1294, 0.3762, 0.0004)
C (0.1302, 0.1302, 0.2555)
C (0.3748, 0.8719, 0.2517)
C (0.3762, 0.1294, 0.0004)
C (0.6238, 0.8706, 0.9996)
C (0.6252, 0.1281, 0.7483)
C (0.8698, 0.8698, 0.7445)
C (0.8706, 0.6238, 0.9996)
C (0.8719, 0.3748, 0.2517)
C (0.8731, 0.1269, 0.5000)

Main lines, by angle (2θ = 10–90°):
- d = 2.730 Å, intensity 100
- d = 2.721 Å, intensity 34
- d = 2.362 Å, intensity 93
- d = 1.670 Å, intensity 20
- d = 1.667 Å, intensity 20
- d = 1.426 Å, intensity 21



[3]
Zr6C5: calculated powder X-ray diffraction pattern (Cu Kα X-rays), based on a crystal structure in OQMD, relaxed with PBE.

Structure:
Cell: 5.7886 5.7886 11.0921 Å, 95.02 95.02 120.04°
Fractional positions:
Zr (0.0261, 0.1937, 0.1230)
Zr (0.1107, 0.6264, 0.3768)
Zr (0.1937, 0.0261, 0.6230)
Zr (0.2794, 0.4603, 0.8810)
Zr (0.3736, 0.8893, 0.1232)
Zr (0.4603, 0.2794, 0.3810)
Zr (0.5397, 0.7206, 0.6190)
Zr (0.6264, 0.1107, 0.8768)
Zr (0.7206, 0.5397, 0.1190)
Zr (0.8063, 0.9739, 0.3770)
Zr (0.8893, 0.3736, 0.6232)
Zr (0.9739, 0.8063, 0.8770)
C (0.0000, 0.5000, 0.0000)
C (0.0833, 0.9167, 0.2500)
C (0.1638, 0.3317, 0.5000)
C (0.2502, 0.7498, 0.7500)
C (0.3317, 0.1638, 0.0000)
C (0.5000, 0.0000, 0.5000)
C (0.6683, 0.8362, 0.0000)
C (0.7498, 0.2502, 0.2500)
C (0.8362, 0.6683, 0.5000)
C (0.9167, 0.0833, 0.7500)

Main lines, by angle (2θ = 10–90°):
- d = 2.729 Å, intensity 100
- d = 2.363 Å, intensity 72
- d = 1.671 Å, intensity 46
- d = 1.426 Å, intensity 26
- d = 1.424 Å, intensity 13
- d = 1.364 Å, intensity 15



What did the third record say?
Zr6C5: calculated powder X-ray diffraction pattern (Cu Kα X-rays), based on a crystal structure in OQMD, relaxed with PBE.

Structure:
Cell: 5.7886 5.7886 11.0921 Å, 95.02 95.02 120.04°
Fractional positions:
Zr (0.0261, 0.1937, 0.1230)
Zr (0.1107, 0.6264, 0.3768)
Zr (0.1937, 0.0261, 0.6230)
Zr (0.2794, 0.4603, 0.8810)
Zr (0.3736, 0.8893, 0.1232)
Zr (0.4603, 0.2794, 0.3810)
Zr (0.5397, 0.7206, 0.6190)
Zr (0.6264, 0.1107, 0.8768)
Zr (0.7206, 0.5397, 0.1190)
Zr (0.8063, 0.9739, 0.3770)
Zr (0.8893, 0.3736, 0.6232)
Zr (0.9739, 0.8063, 0.8770)
C (0.0000, 0.5000, 0.0000)
C (0.0833, 0.9167, 0.2500)
C (0.1638, 0.3317, 0.5000)
C (0.2502, 0.7498, 0.7500)
C (0.3317, 0.1638, 0.0000)
C (0.5000, 0.0000, 0.5000)
C (0.6683, 0.8362, 0.0000)
C (0.7498, 0.2502, 0.2500)
C (0.8362, 0.6683, 0.5000)
C (0.9167, 0.0833, 0.7500)

Main lines, by angle (2θ = 10–90°):
- d = 2.729 Å, intensity 100
- d = 2.363 Å, intensity 72
- d = 1.671 Å, intensity 46
- d = 1.426 Å, intensity 26
- d = 1.424 Å, intensity 13
- d = 1.364 Å, intensity 15



Please write out number 3 again, unchanged.
Zr6C5: calculated powder X-ray diffraction pattern (Cu Kα X-rays), based on a crystal structure in OQMD, relaxed with PBE.

Structure:
Cell: 5.7886 5.7886 11.0921 Å, 95.02 95.02 120.04°
Fractional positions:
Zr (0.0261, 0.1937, 0.1230)
Zr (0.1107, 0.6264, 0.3768)
Zr (0.1937, 0.0261, 0.6230)
Zr (0.2794, 0.4603, 0.8810)
Zr (0.3736, 0.8893, 0.1232)
Zr (0.4603, 0.2794, 0.3810)
Zr (0.5397, 0.7206, 0.6190)
Zr (0.6264, 0.1107, 0.8768)
Zr (0.7206, 0.5397, 0.1190)
Zr (0.8063, 0.9739, 0.3770)
Zr (0.8893, 0.3736, 0.6232)
Zr (0.9739, 0.8063, 0.8770)
C (0.0000, 0.5000, 0.0000)
C (0.0833, 0.9167, 0.2500)
C (0.1638, 0.3317, 0.5000)
C (0.2502, 0.7498, 0.7500)
C (0.3317, 0.1638, 0.0000)
C (0.5000, 0.0000, 0.5000)
C (0.6683, 0.8362, 0.0000)
C (0.7498, 0.2502, 0.2500)
C (0.8362, 0.6683, 0.5000)
C (0.9167, 0.0833, 0.7500)

Main lines, by angle (2θ = 10–90°):
- d = 2.729 Å, intensity 100
- d = 2.363 Å, intensity 72
- d = 1.671 Å, intensity 46
- d = 1.426 Å, intensity 26
- d = 1.424 Å, intensity 13
- d = 1.364 Å, intensity 15



Please write out number 1 again, unchanged.
Zr6C5: calculated powder X-ray diffraction pattern (Cu Kα X-rays), based on a crystal structure in OQMD, relaxed with PBE.

Structure:
Cell: 5.7877 5.7877 16.3815 Å, 90.00 90.00 120.00°
Fractional positions:
Zr (0.2072, 0.0974, 0.2486)
Zr (0.2072, 0.1098, 0.7514)
Zr (0.2071, 0.4451, 0.4179)
Zr (0.2071, 0.7619, 0.5821)
Zr (0.2381, 0.4451, 0.9154)
Zr (0.2381, 0.7929, 0.0846)
Zr (0.5417, 0.0968, 0.9127)
Zr (0.5417, 0.4449, 0.0873)
Zr (0.5551, 0.0968, 0.4206)
Zr (0.5551, 0.4583, 0.5794)
Zr (0.5549, 0.7619, 0.7512)
Zr (0.5549, 0.7929, 0.2488)
Zr (0.8902, 0.0974, 0.0847)
Zr (0.8902, 0.7928, 0.9153)
Zr (0.9026, 0.1098, 0.5820)
Zr (0.9032, 0.4449, 0.2461)
Zr (0.9032, 0.4583, 0.7539)
Zr (0.9026, 0.7928, 0.4180)
C (0.2185, 0.1092, 0.5000)
C (0.2219, 0.4438, 0.6667)
C (0.2219, 0.7781, 0.3333)
C (0.2229, 0.1115, 0.0000)
C (0.2225, 0.4450, 0.1667)
C (0.2225, 0.7775, 0.8333)
C (0.5545, 0.1089, 0.1667)
C (0.5545, 0.4455, 0.8333)
C (0.5550, 0.7775, 0.5000)
C (0.5562, 0.7781, 0.0000)
C (0.8885, 0.1115, 0.3333)
C (0.8885, 0.7771, 0.6667)
C (0.8908, 0.1092, 0.8333)
C (0.8911, 0.4455, 0.5000)
C (0.8908, 0.7815, 0.1667)

Main lines, by angle (2θ = 10–90°):
- d = 2.729 Å, intensity 100
- d = 2.363 Å, intensity 72
- d = 1.671 Å, intensity 46
- d = 1.425 Å, intensity 39
- d = 1.365 Å, intensity 15
- d = 1.182 Å, intensity 7